Record 1
Theoretical powder diffraction line list of KHO for a wavelength of 1.5418 Å, from a crystal structure in the Materials Project, relaxed with PBE.
Peak positions follow from Bragg's law for the DFT cell and can differ from measured ones.

Top 8 peaks for 2θ from 15° to 90°, low angle first:
| h k l | 2θ (°) | I_rel |
| --- | --- | --- |
| 1 1 0 | 27.67 | 31 |
| 1 1 -2 | 32.34 | 100 |
| 2 0 0 | 32.56 | 51 |
| 0 1 2 | 33.09 | 52 |
| 1 1 2 | 41.23 | 26 |
| 1 0 -4 | 45.17 | 22 |
| 0 2 0 | 45.60 | 23 |
| 3 1 -2 | 51.44 | 22 |

a = 5.991 Å, b = 3.979 Å, c = 8.046 Å
α = 90.00°, β = 113.37°, γ = 90.00°
Space group P2_1/c (No. 14)
Inequivalent atoms, fractional coordinates:
K: 0.208 0.246 0.437
H: 0.429 0.649 0.736
O: 0.277 0.735 0.213

Record 2
Theoretical powder diffraction line list of KHO for a wavelength of 1.5418 Å, from a crystal structure in the Materials Project, relaxed with PBE.
Peak positions follow from Bragg's law for the DFT cell and can differ from measured ones.

Top 8 peaks for 2θ from 15° to 90°, low angle first:
| h k l | 2θ (°) | I_rel |
| --- | --- | --- |
| 0 1 1 | 27.54 | 28 |
| 1 1 0 | 32.04 | 100 |
| 0 0 2 | 32.20 | 50 |
| 1 1 -1 | 33.15 | 36 |
| 1 1 -2 | 41.41 | 27 |
| 2 0 -1 | 44.94 | 17 |
| 0 2 0 | 45.54 | 20 |
| 1 1 2 | 50.37 | 23 |

a = 4.054 Å, b = 3.984 Å, c = 5.754 Å
α = 90.00°, β = 104.88°, γ = 90.00°
Space group P2_1 (No. 4)
Inequivalent atoms, fractional coordinates:
K: 0.172 0.000 0.288
H: 0.430 0.136 0.909
O: 0.324 0.989 0.775